Entry 1:
Structure and computed powder diffractogram of BaHoCo4O7 (the PBE+U geometry in the Materials Project; Cu Kα (weighted mean of Kα1 and Kα2)).

Top 8 peaks for 10° ≤ 2θ ≤ 80°, sorted by position:
2θ (°), I_rel, index
28.0, 49, 1 1 0
30.4, 67, 1 0 3
32.9, 100, 1 1 2
33.5, 55, 2 0 1
51.0, 30, 2 1 3
52.7, 28, 3 0 2
55.3, 36, 2 0 5
57.8, 33, 2 2 0

Crystal structure
a b c (Å): 6.3826 6.3826 10.4049
angles (deg): 90.00 90.00 120.00
Space group P6_3mc (No. 186)
One atom of each set of equivalent atoms:
Ba 0.3333 0.6667 0.0000 [2 per cell]
Ho 0.3333 0.6667 0.3963 [2 per cell]
Co 0.0000 0.0000 0.4616 [2 per cell]
Co 0.1695 0.3390 0.7064 [6 per cell]
O 0.0000 0.0000 0.2631 [2 per cell]
O 0.0160 0.5080 0.7792 [6 per cell]
O 0.1678 0.3356 0.5219 [6 per cell]

Entry 2:
Structure and computed powder diffractogram of Ba3CoIr2O9 (the PBE+U geometry in the Materials Project; Cu Kα (weighted mean of Kα1 and Kα2)).

Top 8 peaks for 10° ≤ 2θ ≤ 80°, sorted by position:
2θ (°), I_rel, index
18.6, 32, 1 0 1
30.4, 49, 1 0 4
30.6, 100, 1 1 0
35.7, 32, 1 0 5
43.6, 28, 2 0 4
47.7, 19, 2 0 5
54.2, 19, 2 1 4
54.3, 20, 3 0 0

Crystal structure
a b c (Å): 5.8512 5.8512 14.4706
angles (deg): 90.00 90.00 120.00
Space group P6_3/mmc (No. 194)
One atom of each set of equivalent atoms:
Ba 0.0000 0.0000 0.2500 [2 per cell]
Ba 0.3333 0.6667 0.0878 [4 per cell]
Co 0.0000 0.0000 0.0000 [2 per cell]
Ir 0.3333 0.6667 0.6549 [4 per cell]
O 0.0291 0.5145 0.7500 [6 per cell]
O 0.1694 0.3388 0.5818 [12 per cell]